[1]
TiInI2F: computed powder XRD pattern (a wavelength of 1.5418 Å), based on a DFT-relaxed cell (PBE, Alexandria).
Neutral-atom scattering factors, no anomalous dispersion.

Main lines, low angle first (2θ from 10° to 80°):
hkl, d/Å, Position (°2θ), I (rel.)
1 0 0, 6.048, 14.6, 21.7
0 0 1, 4.325, 20.5, 57.7
1 0 1, 3.518, 25.3, 32.7
1 1 1, 3.041, 29.4, 43.6
2 0 0, 3.024, 29.5, 100.0
2 0 1, 2.478, 36.2, 54.6
2 1 1, 2.293, 39.3, 20.2
2 2 0, 2.138, 42.3, 36.7
2 2 1, 1.917, 47.4, 25.6
2 0 2, 1.759, 52.0, 39.1
2 2 2, 1.521, 60.9, 23.8
4 2 0, 1.353, 69.5, 19.2

Atomic structure:
```
data_TiInI2F
_cell_length_a 6.048
_cell_length_b 6.048
_cell_length_c 4.325
_cell_angle_alpha 90.00
_cell_angle_beta 90.00
_cell_angle_gamma 90.00
_space_group_name_H-M_alt 'P 4/m m m'
_space_group_IT_number 123
_space_group_name_Hall '-P 4 2'
loop_
_atom_site_label
_atom_site_type_symbol
_atom_site_fract_x
_atom_site_fract_y
_atom_site_fract_z
Ti1 Ti 0.000 0.000 0.000
In1 In 0.500 0.500 0.500
I1 I 0.000 0.500 0.500
F1 F 0.500 0.500 0.000
```

***

[2]
La2PmTh2: computed powder XRD pattern (a wavelength of 1.5418 Å), based on a DFT-relaxed cell (PBE, Alexandria).
Neutral-atom scattering factors, no anomalous dispersion.

Main lines, low angle first (2θ from 10° to 80°):
hkl, d/Å, Position (°2θ), I (rel.)
0 0 15, 2.991, 29.9, 33.1
0 1 5, 2.967, 30.1, 100.0
0 1 8, 2.742, 32.7, 3.7
1 0 10, 2.575, 34.8, 67.5
0 1 20, 1.826, 49.9, 23.6
1 1 0, 1.815, 50.3, 24.6
1 0 25, 1.559, 59.3, 13.8
1 1 15, 1.552, 59.6, 28.7
2 0 5, 1.548, 59.7, 14.7
0 0 30, 1.496, 62.1, 3.8
0 2 10, 1.484, 62.6, 12.6
2 0 20, 1.287, 73.6, 7.5

Atomic structure:
```
data_La2PmTh2
_cell_length_a 3.6302
_cell_length_b 3.6302
_cell_length_c 44.8717
_cell_angle_alpha 90.00
_cell_angle_beta 90.00
_cell_angle_gamma 120.00
_space_group_name_H-M_alt 'R -3 m'
_space_group_IT_number 166
_space_group_name_Hall '-R 3 2"'
loop_
_atom_site_label
_atom_site_type_symbol
_atom_site_fract_x
_atom_site_fract_y
_atom_site_fract_z
La1 La 0.0000 0.0000 0.0973
Pm1 Pm 0.0000 0.0000 0.5000
Th1 Th 0.0000 0.0000 0.3016
```

***

[3]
Pr2Nd3Dy5: computed powder XRD pattern (a wavelength of 1.5418 Å), based on a DFT-relaxed cell (PBE, Alexandria).
Neutral-atom scattering factors, no anomalous dispersion.

Main lines, low angle first (2θ from 10° to 80°):
hkl, d/Å, Position (°2θ), I (rel.)
2 0 -2, 3.131, 28.5, 10.7
1 3 -1, 2.862, 31.3, 78.0
1 -3 2, 2.845, 31.4, 85.2
2 0 1, 2.833, 31.6, 100.0
2 1 -3, 2.817, 31.8, 23.0
1 2 -4, 2.800, 32.0, 38.6
0 2 -4, 2.789, 32.1, 19.7
2 2 -3, 2.631, 34.1, 11.3
2 0 -6, 1.723, 53.2, 11.0
3 3 0, 1.644, 55.9, 11.5
2 1 4, 1.635, 56.3, 25.5
-1 3 5, 1.488, 62.4, 13.7

Atomic structure:
```
data_Pr2Nd3Dy5
_cell_length_a 6.648
_cell_length_b 9.918
_cell_length_c 11.694
_cell_angle_alpha 113.73
_cell_angle_beta 104.66
_cell_angle_gamma 90.36
_space_group_name_H-M_alt 'P -1'
_space_group_IT_number 2
_space_group_name_Hall '-P 1'
loop_
_atom_site_label
_atom_site_type_symbol
_atom_site_fract_x
_atom_site_fract_y
_atom_site_fract_z
Pr1 Pr 0.076 0.228 0.272
Pr2 Pr 0.396 0.972 0.699
Nd1 Nd 0.109 0.903 0.331
Nd2 Nd 0.247 0.105 0.991
Nd3 Nd 0.415 0.616 0.698
Dy1 Dy 0.055 0.618 0.428
Dy2 Dy 0.175 0.509 0.142
Dy3 Dy 0.256 0.757 0.011
Dy4 Dy 0.320 0.379 0.853
Dy5 Dy 0.437 0.242 0.562
```

***

[4]
Rb2Pm2F7: computed powder XRD pattern (a wavelength of 1.5418 Å), based on a DFT-relaxed cell (PBE, Alexandria).
Neutral-atom scattering factors, no anomalous dispersion.

Main lines, low angle first (2θ from 10° to 80°):
hkl, d/Å, Position (°2θ), I (rel.)
0 0 1, 6.908, 12.8, 38.6
0 2 1, 3.622, 24.6, 100.0
0 0 2, 3.454, 25.8, 34.4
2 0 1, 3.425, 26.0, 94.9
2 2 0, 2.892, 30.9, 26.8
2 2 2, 2.217, 40.7, 69.5
0 4 0, 2.127, 42.5, 17.8
0 2 3, 2.025, 44.8, 16.1
2 0 3, 1.989, 45.6, 24.6
4 0 0, 1.972, 46.0, 15.6
2 4 1, 1.807, 50.5, 25.4
4 2 1, 1.732, 52.9, 23.6

Atomic structure:
```
data_Rb2Pm2F7
_cell_length_a 7.888
_cell_length_b 8.507
_cell_length_c 6.908
_cell_angle_alpha 90.00
_cell_angle_beta 90.00
_cell_angle_gamma 90.00
_space_group_name_H-M_alt 'C m m m'
_space_group_IT_number 65
_space_group_name_Hall '-C 2 2'
loop_
_atom_site_label
_atom_site_type_symbol
_atom_site_fract_x
_atom_site_fract_y
_atom_site_fract_z
Rb1 Rb 0.238 0.000 0.000
Pm1 Pm 0.000 0.229 0.500
F1 F 0.000 0.000 0.312
F2 F 0.000 0.500 0.500
F3 F 0.250 0.250 0.309
```

***

Q: Which formula does entry 1 have?
A: TiInI2F